No. 1
The following is a computed powder diffractogram of SiO2. It was derived from a structure optimized by DFT (GGA-PBE), using Cu Kα (weighted mean of Kα1 and Kα2).
Peak positions follow from Bragg's law for the DFT cell and can differ from measured ones.

Cell and atoms:
```
data_SiO2
_cell_length_a 14.106
_cell_length_b 14.106
_cell_length_c 10.030
_cell_angle_alpha 90.00
_cell_angle_beta 90.00
_cell_angle_gamma 90.00
_space_group_name_H-M_alt 'I 4/m m m'
_space_group_IT_number 139
_space_group_name_Hall '-I 4 2'
loop_
_atom_site_label
_atom_site_type_symbol
_atom_site_fract_x
_atom_site_fract_y
_atom_site_fract_z
_atom_site_occupancy
Si1 Si 0.110 0.267 0.155 1
O1 O 0.000 0.245 0.188 1
O2 O 0.123 0.299 0.000 1
O3 O 0.147 0.353 0.250 1
O4 O 0.171 0.171 0.185 1
```

Most intense lines, 2θ = 15–90°, low angle first:
d 5.340, 16.60°, I = 100
d 5.006, 17.72°, I = 63
d 3.253, 27.42°, I = 25
d 3.154, 28.29°, I = 51
d 2.954, 30.26°, I = 32
d 2.716, 32.98°, I = 22

=====

No. 2
The following is a computed powder diffractogram of Nb2Si2SO12. It was derived from a structure optimized by DFT (GGA-PBE), using Cu Kα (weighted mean of Kα1 and Kα2).
Peak positions follow from Bragg's law for the DFT cell and can differ from measured ones.

Cell and atoms:
```
data_Nb2Si2SO12
_cell_length_a 15.483
_cell_length_b 8.923
_cell_length_c 9.284
_cell_angle_alpha 90.00
_cell_angle_beta 124.41
_cell_angle_gamma 90.00
_space_group_name_H-M_alt 'C 1 c 1'
_space_group_IT_number 9
loop_
_space_group_symop_operation_xyz
'x,y,z'
'x,-y,z+1/2'
'x+1/2,y+1/2,z'
'x+1/2,-y+1/2,z+1/2'
loop_
_atom_site_label
_atom_site_type_symbol
_atom_site_fract_x
_atom_site_fract_y
_atom_site_fract_z
_atom_site_occupancy
Nb1 Nb 0.000 0.234 0.000 1
Nb2 Nb 0.285 0.249 0.853 1
Si1 Si 0.255 0.109 0.177 1
Si2 Si 0.392 0.465 0.675 1
S1 S 0.038 0.395 0.676 1
O1 O 0.039 0.371 0.833 1
O2 O 0.043 0.443 0.149 1
O3 O 0.133 0.324 0.698 1
O4 O 0.149 0.188 0.141 1
O5 O 0.254 0.071 0.713 1
O6 O 0.258 0.139 0.006 1
O7 O 0.324 0.357 0.714 1
O8 O 0.325 0.427 0.007 1
O9 O 0.361 0.180 0.348 1
O10 O 0.447 0.176 0.018 1
O11 O 0.469 0.430 0.348 1
O12 O 0.470 0.359 0.650 1
```

Most intense lines, 2θ = 15–90°, low angle first:
d 4.638, 19.14°, I = 53
d 4.598, 19.30°, I = 96
d 4.465, 19.88°, I = 100
d 3.850, 23.10°, I = 66
d 3.215, 27.75°, I = 58
d 2.578, 34.80°, I = 35

=====

Number 1 is which compound? SiO2

=====

What is the formula in the first record? SiO2